# 1
Structure and simulated XRD peak list of Cu (a structure optimized by DFT (GGA-PBE); CuKα).
Peak positions follow from Bragg's law for the DFT cell and can differ from measured ones.

The 3 most intense peaks (2θ from 10° to 80°), by angle:
| 2θ/deg | I_rel |
| --- | --- |
| 43.27 | 100.0 |
| 50.40 | 46.7 |
| 74.05 | 26.7 |

Structure:
```
data_Cu
_chemical_formula_sum 'Cu4'
_space_group_name_H-M_alt 'F m -3 m'
_space_group_IT_number 225
_space_group_name_Hall '-F 4 2 3'
_cell_length_a 3.621
_cell_length_b 3.621
_cell_length_c 3.621
_cell_angle_alpha 90.00
_cell_angle_beta 90.00
_cell_angle_gamma 90.00
loop_
_atom_site_label
_atom_site_fract_x
_atom_site_fract_y
_atom_site_fract_z
Cu1 0.000 0.000 0.000
```

# 2
Structure and simulated XRD peak list of K3Fe2Se4 (a structure optimized by DFT (GGA-PBE); CuKα).
Peak positions follow from Bragg's law for the DFT cell and can differ from measured ones.

The 10 most intense peaks (2θ from 10° to 80°), by angle:
| 2θ/deg | I_rel |
| --- | --- |
| 13.72 | 100.0 |
| 14.42 | 35.1 |
| 24.51 | 59.9 |
| 25.98 | 63.8 |
| 27.60 | 38.9 |
| 29.36 | 60.7 |
| 30.40 | 59.9 |
| 32.17 | 47.1 |
| 33.24 | 48.0 |
| 42.77 | 37.6 |

Structure:
```
data_K3Fe2Se4
_chemical_formula_sum 'K12 Fe8 Se16'
_space_group_name_H-M_alt 'P n m a'
_space_group_IT_number 62
_cell_length_a 7.583
_cell_length_b 11.200
_cell_length_c 12.284
_cell_angle_alpha 90.00
_cell_angle_beta 90.00
_cell_angle_gamma 90.00
loop_
_space_group_symop_operation_xyz
'x,y,z'
'-x,-y,-z'
'-x+1/2,-y,z+1/2'
'x+1/2,y,-z+1/2'
'x+1/2,-y+1/2,-z+1/2'
'-x+1/2,y+1/2,z+1/2'
'-x,y+1/2,-z'
'x,-y+1/2,z'
loop_
_atom_site_label
_atom_site_fract_x
_atom_site_fract_y
_atom_site_fract_z
K1 0.070 0.072 0.137
K2 0.083 0.250 0.763
Fe1 0.051 0.133 0.471
Se1 0.092 0.750 0.667
Se2 0.154 0.555 0.392
Se3 0.199 0.750 0.034
```

# 3
Structure and simulated XRD peak list of Na5HfAs3 (a structure optimized by DFT (GGA-PBE); CuKα).
Peak positions follow from Bragg's law for the DFT cell and can differ from measured ones.

The 10 most intense peaks (2θ from 10° to 80°), by angle:
| 2θ/deg | I_rel |
| --- | --- |
| 12.21 | 100.0 |
| 13.32 | 38.2 |
| 15.67 | 37.4 |
| 16.89 | 37.9 |
| 17.31 | 36.7 |
| 37.00 | 30.7 |
| 37.18 | 30.4 |
| 37.27 | 34.6 |
| 38.79 | 38.6 |
| 42.15 | 32.8 |

Structure:
```
data_Na5HfAs3
_chemical_formula_sum 'Na20 Hf4 As12'
_space_group_name_H-M_alt 'P 1 21/c 1'
_space_group_IT_number 14
_cell_length_a 8.512
_cell_length_b 7.566
_cell_length_c 16.270
_cell_angle_alpha 90.00
_cell_angle_beta 121.11
_cell_angle_gamma 90.00
loop_
_space_group_symop_operation_xyz
'x,y,z'
'-x,-y,-z'
'-x,y+1/2,-z+1/2'
'x,-y+1/2,z+1/2'
loop_
_atom_site_label
_atom_site_fract_x
_atom_site_fract_y
_atom_site_fract_z
Na1 0.002 0.164 0.081
Na2 0.083 0.009 0.763
Na3 0.261 0.511 0.093
Na4 0.320 0.655 0.743
Na5 0.405 0.028 0.085
Hf1 0.339 0.142 0.414
As1 0.056 0.243 0.917
As2 0.342 0.707 0.930
As3 0.354 0.237 0.265
```

# 4
Structure and simulated XRD peak list of Cu3SbSe4 (a structure optimized by DFT (GGA-PBE); CuKα).
Peak positions follow from Bragg's law for the DFT cell and can differ from measured ones.

The 10 most intense peaks (2θ from 10° to 80°), by angle:
| 2θ/deg | I_rel |
| --- | --- |
| 27.05 | 100.0 |
| 35.98 | 3.5 |
| 44.81 | 24.2 |
| 44.95 | 47.6 |
| 53.12 | 28.4 |
| 53.37 | 13.9 |
| 65.23 | 7.2 |
| 65.66 | 3.5 |
| 71.96 | 5.2 |
| 72.17 | 10.3 |

Structure:
```
data_Cu3SbSe4
_chemical_formula_sum 'Cu6 Sb2 Se8'
_space_group_name_H-M_alt 'I -4 2 m'
_space_group_IT_number 121
_space_group_name_Hall 'I -4 2'
_cell_length_a 5.721
_cell_length_b 5.721
_cell_length_c 11.375
_cell_angle_alpha 90.00
_cell_angle_beta 90.00
_cell_angle_gamma 90.00
loop_
_atom_site_label
_atom_site_fract_x
_atom_site_fract_y
_atom_site_fract_z
Cu1 0.000 0.000 0.000
Cu2 0.000 0.500 0.250
Sb1 0.000 0.000 0.500
Se1 0.233 0.233 0.866
```